Structure and calculated powder X-ray diffraction pattern of Zr2Fe2Os (a DFT-relaxed cell (GGA-PBE, Alexandria); Cu Kα).
No peak broadening, texture or thermal motion is included.

Atomic structure:
```
data_Zr2Fe2Os
_chemical_formula_sum 'Zr4 Fe4 Os2'
_symmetry_space_group_name_H-M 'P 1'
_symmetry_Int_Tables_number 1
_symmetry_space_group_name_Hall 'P 1'
_cell_length_a 6.331
_cell_length_b 6.331
_cell_length_c 4.044
_cell_angle_alpha 90.00
_cell_angle_beta 90.00
_cell_angle_gamma 90.00
loop_
_atom_site_label
_atom_site_type_symbol
_atom_site_fract_x
_atom_site_fract_y
_atom_site_fract_z
_atom_site_occupancy
Zr1 Zr 0.182 0.318 0.000 1
Zr2 Zr 0.318 0.818 0.000 1
Zr3 Zr 0.682 0.182 0.000 1
Zr4 Zr 0.818 0.682 0.000 1
Fe1 Fe 0.120 0.620 0.500 1
Fe2 Fe 0.380 0.120 0.500 1
Fe3 Fe 0.620 0.880 0.500 1
Fe4 Fe 0.880 0.380 0.500 1
Os1 Os 0.000 0.000 0.500 1
Os2 Os 0.500 0.500 0.500 1
```

Principal peaks in the range 2θ from 10° to 90°, low angle first:
(1 1 0), 2θ = 19.83°, 4.476 Å, rel. 17; (1 1 1), 2θ = 29.77°, 3.001 Å, rel. 39; (2 0 1), 2θ = 36.03°, 2.493 Å, rel. 100; (2 1 1), 2θ = 38.83°, 2.319 Å, rel. 70; (2 2 0), 2θ = 40.30°, 2.238 Å, rel. 26; (0 0 2), 2θ = 44.82°, 2.022 Å, rel. 32; (3 1 0), 2θ = 45.30°, 2.002 Å, rel. 52; (3 1 1), 2θ = 50.90°, 1.794 Å, rel. 21; (3 1 2), 2θ = 65.63°, 1.423 Å, rel. 34; (5 1 1), 2θ = 81.02°, 1.187 Å, rel. 19

---

Structure and calculated powder X-ray diffraction pattern of ZrFe2Os (a DFT-relaxed cell (GGA-PBE, Alexandria); Cu Kα).
No peak broadening, texture or thermal motion is included.

Atomic structure:
```
data_ZrFe2Os
_chemical_formula_sum 'Zr2 Fe4 Os2'
_symmetry_space_group_name_H-M 'P 1'
_symmetry_Int_Tables_number 1
_symmetry_space_group_name_Hall 'P 1'
_cell_length_a 3.195
_cell_length_b 4.342
_cell_length_c 8.735
_cell_angle_alpha 90.00
_cell_angle_beta 90.00
_cell_angle_gamma 90.00
loop_
_atom_site_label
_atom_site_type_symbol
_atom_site_fract_x
_atom_site_fract_y
_atom_site_fract_z
_atom_site_occupancy
Zr1 Zr 0.000 0.000 0.000 1
Zr2 Zr 0.500 0.500 0.500 1
Fe1 Fe 0.000 0.500 0.240 1
Fe2 Fe 0.000 0.500 0.760 1
Fe3 Fe 0.500 0.000 0.260 1
Fe4 Fe 0.500 0.000 0.740 1
Os1 Os 0.000 0.000 0.500 1
Os2 Os 0.500 0.500 0.000 1
```

Principal peaks in the range 2θ from 10° to 90°, low angle first:
(0 0 2), 2θ = 20.33°, 4.368 Å, rel. 24; (0 1 1), 2θ = 22.87°, 3.888 Å, rel. 14; (1 1 0), 2θ = 34.87°, 2.573 Å, rel. 13; (1 1 2), 2θ = 40.70°, 2.217 Å, rel. 100; (0 0 4), 2θ = 41.34°, 2.184 Å, rel. 24; (0 2 0), 2θ = 41.60°, 2.171 Å, rel. 24; (0 2 4), 2θ = 60.09°, 1.540 Å, rel. 15; (1 1 6), 2θ = 74.95°, 1.267 Å, rel. 15; (1 3 2), 2θ = 75.30°, 1.262 Å, rel. 16; (2 2 4), 2θ = 88.13°, 1.109 Å, rel. 10